# CdB4Au
Simulated XRD peak list, a wavelength of 1.5418 Å. Input: a cell relaxed with GGA-PBE.
Peak positions follow from Bragg's law for the DFT cell and can differ from measured ones.

Most intense lines, 2θ = 10–90°, most intense first:
40.57°, intensity 100
33.57°, intensity 69
22.13°, intensity 55
57.41°, intensity 30
11.01°, intensity 21
64.79°, intensity 19
60.02°, intensity 17
74.98°, intensity 16

Atomic structure:
a = 3.083 Å, b = 3.083 Å, c = 8.034 Å
α = 90.00°, β = 90.00°, γ = 120.00°
Fractional coordinates of all 6 atoms:
Cd: 0.000 0.000 0.000
B: 0.333 0.667 0.251
B: 0.333 0.667 0.749
B: 0.667 0.333 0.251
B: 0.667 0.333 0.749
Au: 0.000 0.000 0.500